1.
Structure and computed powder X-ray diffraction pattern of ScPd4Pt3 (a cell relaxed with PBE; Cu Kα, 1.54184 Å).
Neutral-atom scattering factors, no anomalous dispersion.

Cell and atoms:
```
ScPd4Pt3
1.0
2.8082 0.0000 0.0000
0.0000 8.4894 0.0000
0.0000 0.0000 11.1061
Sc Pd Pt
2 8 6
direct
0.0000 0.0000 0.0000
0.5000 0.5000 0.5000
0.0000 0.2726 0.1273
0.0000 0.2726 0.8727
0.0000 0.7274 0.1273
0.0000 0.7274 0.8727
0.5000 0.2274 0.3727
0.5000 0.2274 0.6273
0.5000 0.7726 0.3727
0.5000 0.7726 0.6273
0.0000 0.0000 0.5000
0.0000 0.5000 0.2983
0.0000 0.5000 0.7017
0.5000 0.0000 0.2017
0.5000 0.0000 0.7983
0.5000 0.5000 0.0000
```

Top 10 peaks for 15° ≤ 2θ ≤ 90°, in order of rising 2θ:
2theta	Rel. int.
26.26	662
37.42	1000
38.75	914
39.32	869
40.11	459
42.60	551
45.85	397
48.53	468
52.53	412
66.56	357

---

2.
Structure and computed powder X-ray diffraction pattern of Sc6Pd3Pt (a cell relaxed with PBE; Cu Kα, 1.54184 Å).
Neutral-atom scattering factors, no anomalous dispersion.

Cell and atoms:
```
Sc6Pd3Pt
1.0
6.5400 0.0000 0.0000
0.0000 7.1529 0.0000
-6.4598 0.0000 9.1565
Sc Pd Pt
12 6 2
direct
0.0597 0.0574 0.2499
0.0597 0.4426 0.7499
0.2139 0.6693 0.0652
0.2139 0.8307 0.5652
0.4116 0.1666 0.0626
0.4116 0.3334 0.5626
0.5884 0.6666 0.4374
0.5884 0.8334 0.9374
0.7861 0.1693 0.4348
0.7861 0.3307 0.9348
0.9403 0.5574 0.2501
0.9403 0.9426 0.7501
0.3106 0.1284 0.7512
0.3106 0.3716 0.2512
0.5000 0.0000 0.5000
0.5000 0.5000 0.0000
0.6894 0.6284 0.7488
0.6894 0.8716 0.2488
0.0000 0.0000 0.0000
0.0000 0.5000 0.5000
```

Top 10 peaks for 15° ≤ 2θ ≤ 90°, in order of rising 2θ:
2theta	Rel. int.
18.38	308
26.75	1000
26.93	932
27.27	368
31.56	336
34.63	374
39.36	438
40.26	746
47.78	341
48.10	336

---

3.
Structure and computed powder X-ray diffraction pattern of Sc2Pd2Pt (a cell relaxed with PBE; Cu Kα, 1.54184 Å).
Neutral-atom scattering factors, no anomalous dispersion.

Cell and atoms:
```
Sc2Pd2Pt
1.0
-3.0404 5.7904 2.6936
3.0404 -5.7904 2.6936
3.0404 5.7904 -2.6936
Sc Pd Pt
4 4 2
direct
0.1651 0.2190 0.3840
0.3349 0.7190 0.0539
0.6651 0.2810 0.9461
0.8349 0.7810 0.6160
0.1058 0.6470 0.7528
0.3942 0.1470 0.5411
0.6058 0.8530 0.4589
0.8942 0.3530 0.2472
0.2500 0.2500 0.0000
0.7500 0.7500 0.0000
```

Top 10 peaks for 15° ≤ 2θ ≤ 90°, in order of rising 2θ:
2theta	Rel. int.
15.30	1000
16.47	392
27.37	680
33.28	428
34.75	353
37.33	949
41.73	458
44.96	378
45.43	355
46.02	593

---

4.
Structure and computed powder X-ray diffraction pattern of ScZnPdPt (a cell relaxed with PBE; Cu Kα, 1.54184 Å).
Neutral-atom scattering factors, no anomalous dispersion.

Cell and atoms:
```
ScZnPdPt
1.0
4.1843 0.0000 0.0000
0.0000 4.1843 0.0000
0.0000 0.0000 7.3214
Sc Zn Pd Pt
2 2 2 2
direct
0.0000 0.0000 0.0000
0.5000 0.5000 0.5000
0.0000 0.0000 0.5000
0.5000 0.5000 0.0000
0.0000 0.5000 0.7500
0.5000 0.0000 0.2500
0.0000 0.5000 0.2500
0.5000 0.0000 0.7500
```

Top 10 peaks for 15° ≤ 2θ ≤ 90°, in order of rising 2θ:
2theta	Rel. int.
24.31	166
24.50	142
30.21	193
39.15	1000
43.24	376
49.82	124
62.81	122
68.06	190
76.56	270
84.14	107

---

5.
Structure and computed powder X-ray diffraction pattern of SiPd2Pt (a cell relaxed with PBE; Cu Kα, 1.54184 Å).
Neutral-atom scattering factors, no anomalous dispersion.

Cell and atoms:
```
SiPd2Pt
1.0
8.3627 0.0000 0.0000
0.0000 4.8025 0.0000
-1.3478 0.0000 3.0892
Si Pd Pt
2 4 2
direct
0.0000 0.0000 0.0000
0.5000 0.5000 0.0000
0.1983 0.8256 0.6965
0.3017 0.3256 0.3035
0.6983 0.3256 0.6965
0.8017 0.8256 0.3035
0.0000 0.3439 0.5000
0.5000 0.8439 0.5000
```

Top 10 peaks for 15° ≤ 2θ ≤ 90°, in order of rising 2θ:
2theta	Rel. int.
21.84	373
28.94	900
37.45	654
39.97	902
40.22	992
40.34	1000
48.01	627
54.45	273
67.96	227
69.50	481

---

6.
Structure and computed powder X-ray diffraction pattern of SiPd6Pt (a cell relaxed with PBE; Cu Kα, 1.54184 Å).
Neutral-atom scattering factors, no anomalous dispersion.

Cell and atoms:
```
SiPd6Pt
1.0
5.0206 0.0000 0.0000
-0.5306 5.0074 0.0000
-0.5399 -0.5866 4.9723
Si Pd Pt
1 6 1
direct
0.0000 0.0000 0.0000
0.0479 0.5917 0.7630
0.2367 0.9513 0.4087
0.4089 0.2370 0.9513
0.5911 0.7630 0.0487
0.7633 0.0487 0.5913
0.9521 0.4083 0.2370
0.5000 0.5000 0.5000
```

Top 10 peaks for 15° ≤ 2θ ≤ 90°, in order of rising 2θ:
2theta	Rel. int.
17.86	221
34.78	516
38.53	1000
38.63	490
43.73	757
43.79	376
60.98	184
66.09	343
76.83	199
79.21	169

---

7.
Structure and computed powder X-ray diffraction pattern of SiPd2Pt (a cell relaxed with PBE; Cu Kα, 1.54184 Å).
Neutral-atom scattering factors, no anomalous dispersion.

Cell and atoms:
```
SiPd2Pt
1.0
0.0000 3.8936 3.9245
3.8787 0.0000 3.9245
3.8787 3.8936 0.0000
Si Pd Pt
2 4 2
direct
0.2472 0.2472 0.7528
0.7528 0.7528 0.2472
0.2500 0.2500 0.2500
0.3181 0.6819 0.3181
0.6819 0.3181 0.6819
0.7500 0.7500 0.7500
0.1851 0.8149 0.8149
0.8149 0.1851 0.1851
```

Top 10 peaks for 15° ≤ 2θ ≤ 90°, in order of rising 2θ:
2theta	Rel. int.
22.66	245
32.39	335
38.32	320
38.43	493
40.06	1000
46.27	274
46.66	138
50.99	362
71.29	132
71.76	141

---

8.
Structure and computed powder X-ray diffraction pattern of Sm4Si3PdPt12 (a cell relaxed with PBE; Cu Kα, 1.54184 Å).
Neutral-atom scattering factors, no anomalous dispersion.

Cell and atoms:
```
Sm4Si3PdPt12
1.0
-4.6852 4.6852 4.6852
4.6852 -4.6852 4.6852
4.6852 4.6852 -4.6852
Sm Si Pd Pt
4 3 1 12
direct
0.0000 0.0000 0.5000
0.0000 0.5000 0.0000
0.5000 0.0000 0.0000
0.5000 0.5000 0.5000
0.0000 0.5000 0.5000
0.5000 0.0000 0.5000
0.5000 0.5000 0.0000
0.0000 0.0000 0.0000
0.0000 0.2655 0.2655
0.0000 0.7345 0.7345
0.2500 0.5000 0.7500
0.2500 0.7500 0.5000
0.2655 0.0000 0.2655
0.2655 0.2655 0.0000
0.5000 0.2500 0.7500
0.5000 0.7500 0.2500
0.7345 0.0000 0.7345
0.7345 0.7345 0.0000
0.7500 0.2500 0.5000
0.7500 0.5000 0.2500
```

Top 10 peaks for 15° ≤ 2θ ≤ 90°, in order of rising 2θ:
2theta	Rel. int.
18.94	57
33.12	1000
35.86	17
38.43	657
43.18	23
45.40	17
55.47	449
66.15	401
69.50	150
82.32	71

---

9.
Structure and computed powder X-ray diffraction pattern of Th2SiPd2Pt4 (a cell relaxed with PBE; Cu Kα, 1.54184 Å).
Neutral-atom scattering factors, no anomalous dispersion.

Cell and atoms:
```
Th2SiPd2Pt4
1.0
-3.1734 3.1734 4.2790
3.1734 -3.1734 4.2790
3.1734 3.1734 -4.2790
Th Si Pd Pt
2 1 2 4
direct
0.2500 0.7500 0.5000
0.7500 0.2500 0.5000
0.0000 0.0000 0.0000
0.2769 0.2769 0.0000
0.7231 0.7231 0.0000
0.2676 0.2676 0.5351
0.2676 0.7324 0.0000
0.7324 0.2676 0.0000
0.7324 0.7324 0.4649
```

Top 10 peaks for 15° ≤ 2θ ≤ 90°, in order of rising 2θ:
2theta	Rel. int.
28.83	69
35.21	1000
40.19	375
42.24	161
58.14	122
59.72	223
69.82	251
72.68	110
74.44	111
86.79	45

---

10.
Structure and computed powder X-ray diffraction pattern of SmPd9Pt3 (a cell relaxed with PBE; Cu Kα, 1.54184 Å).
Neutral-atom scattering factors, no anomalous dispersion.

Cell and atoms:
```
SmPd9Pt3
1.0
2.6521 -6.4599 0.0000
2.6521 6.4599 0.0000
-2.6242 0.0000 6.4441
Sm Pd Pt
1 9 3
direct
0.0000 0.0000 0.0000
0.0032 0.6559 0.6525
0.2819 0.4994 0.7822
0.3441 0.9968 0.3475
0.4994 0.2819 0.7822
0.5000 0.5000 0.5000
0.5006 0.7181 0.2178
0.6559 0.0032 0.6525
0.7181 0.5006 0.2178
0.9968 0.3441 0.3475
0.0000 0.0000 0.5000
0.0000 0.5000 0.0000
0.5000 0.0000 0.0000
```

Top 10 peaks for 15° ≤ 2θ ≤ 90°, in order of rising 2θ:
2theta	Rel. int.
19.46	362
33.99	322
39.24	439
39.39	1000
39.51	815
44.17	571
44.34	492
44.44	273
71.41	147
71.63	144

---

11.
Structure and computed powder X-ray diffraction pattern of Sm3Pd4Pt4 (a cell relaxed with PBE; Cu Kα, 1.54184 Å).
Neutral-atom scattering factors, no anomalous dispersion.

Cell and atoms:
```
Sm3Pd4Pt4
1.0
-3.9248 3.9248 3.9248
3.9248 -3.9248 3.9248
3.9248 3.9248 -3.9248
Sm Pd Pt
3 4 4
direct
0.0000 0.5000 0.5000
0.5000 0.0000 0.5000
0.5000 0.5000 0.0000
0.0000 0.0000 0.2451
0.0000 0.2451 0.0000
0.2451 0.0000 0.0000
0.7549 0.7549 0.7549
0.0000 0.0000 0.6063
0.0000 0.6063 0.0000
0.3937 0.3937 0.3937
0.6063 0.0000 0.0000
```

Top 10 peaks for 15° ≤ 2θ ≤ 90°, in order of rising 2θ:
2theta	Rel. int.
15.97	165
27.84	301
32.26	1000
36.19	565
43.12	459
49.25	553
54.86	178
57.52	188
74.52	231
81.30	152

---

12.
Structure and computed powder X-ray diffraction pattern of Sm2Pd4Pt (a cell relaxed with PBE; Cu Kα, 1.54184 Å).
Neutral-atom scattering factors, no anomalous dispersion.

Cell and atoms:
```
Sm2Pd4Pt
1.0
5.5990 -2.7084 0.0000
5.5990 2.7084 0.0000
0.0000 0.0000 9.3192
Sm Pd Pt
4 8 2
direct
0.1441 0.1441 0.0000
0.3559 0.3559 0.5000
0.6441 0.6441 0.5000
0.8559 0.8559 0.0000
0.0013 0.4987 0.7500
0.2492 0.7508 0.7502
0.2508 0.7492 0.2502
0.4987 0.0013 0.2500
0.5013 0.9987 0.7500
0.7492 0.2508 0.7498
0.7508 0.2492 0.2498
0.9987 0.5013 0.2500
0.0000 0.0000 0.5000
0.5000 0.5000 0.0000
```

Top 10 peaks for 15° ≤ 2θ ≤ 90°, in order of rising 2θ:
2theta	Rel. int.
30.63	927
37.48	323
38.44	1000
38.65	493
41.32	413
46.66	171
57.56	157
57.86	155
69.80	171
79.82	197

---

13.
Structure and computed powder X-ray diffraction pattern of Sm2PdPt3 (a cell relaxed with PBE; Cu Kα, 1.54184 Å).
Neutral-atom scattering factors, no anomalous dispersion.

Cell and atoms:
```
Sm2PdPt3
1.0
7.1934 0.0000 0.0000
0.0000 4.0098 0.0000
0.0000 0.0000 17.1628
Sm Pd Pt
8 4 12
direct
0.0620 0.2500 0.2081
0.1536 0.2500 0.4330
0.3464 0.7500 0.9330
0.4380 0.7500 0.7081
0.5620 0.2500 0.2919
0.6536 0.2500 0.0670
0.8464 0.7500 0.5670
0.9380 0.7500 0.7919
0.0015 0.7500 0.0687
0.4985 0.2500 0.5687
0.5015 0.7500 0.4313
0.9985 0.2500 0.9313
0.1317 0.2500 0.6518
0.2461 0.7500 0.5508
0.2475 0.7500 0.3084
0.2525 0.2500 0.8084
0.2539 0.2500 0.0508
0.3683 0.7500 0.1518
0.6317 0.2500 0.8482
0.7461 0.7500 0.9492
0.7475 0.7500 0.1916
0.7525 0.2500 0.6916
0.7539 0.2500 0.4492
0.8683 0.7500 0.3482
```

Top 10 peaks for 15° ≤ 2θ ≤ 90°, in order of rising 2θ:
2theta	Rel. int.
33.01	1000
33.47	526
34.39	723
36.66	396
37.07	1000
42.12	317
42.84	409
43.22	537
45.21	847
64.34	333